For La2MnGaPd6, a crystal structure in Alexandria, relaxed with GGA-PBE gives the computed powder XRD pattern in this record (CuKα).
Intensities are scaled so that the largest is 100.

Atomic structure:
abc: 5.532 6.612 6.754
angles: 80.80 65.91 65.28
Space group P-1 (No. 2)
Inequivalent atoms, fractional coordinates:
La1 0.032 0.220 0.214 x2
Mn1 0.500 0.500 0.000 x1
Ga1 0.500 0.000 0.500 x1
Pd1 0.003 0.235 0.760 x2
Pd2 0.343 0.408 0.407 x2
Pd3 0.497 0.765 0.240 x2

The 10 most intense peaks (10° ≤ 2θ ≤ 90°), by intensity:
2θ 41.72, I = 100
2θ 38.63, I = 90
2θ 38.78, I = 76
2θ 40.85, I = 39
2θ 28.13, I = 37
2θ 28.97, I = 34
2θ 29.75, I = 32
2θ 28.53, I = 27
2θ 28.38, I = 26
2θ 27.97, I = 26

For La12Ga3N4, a crystal structure in Alexandria, relaxed with GGA-PBE gives the computed powder XRD pattern in this record (CuKα).
Intensities are scaled so that the largest is 100.

Atomic structure:
abc: 10.150 10.150 10.150
angles: 90.00 90.00 90.00
Space group Im-3 (No. 204)
Inequivalent atoms, fractional coordinates:
La1 0.000 0.257 0.254 x24
Ga1 0.000 0.000 0.500 x6
N1 0.250 0.250 0.250 x8

The 10 most intense peaks (10° ≤ 2θ ≤ 90°), by intensity:
2θ 30.51, I = 100
2θ 35.37, I = 57
2θ 60.50, I = 42
2θ 50.89, I = 39
2θ 85.58, I = 17
2θ 82.93, I = 17
2θ 17.47, I = 14
2θ 63.50, I = 13
2θ 39.71, I = 6
2θ 74.83, I = 6

For LaGaN2, a crystal structure in Alexandria, relaxed with GGA-PBE gives the computed powder XRD pattern in this record (CuKα).
Intensities are scaled so that the largest is 100.

Atomic structure:
abc: 3.660 8.171 4.070
angles: 90.00 90.00 90.00
Space group Pmn2_1 (No. 31)
Inequivalent atoms, fractional coordinates:
La1 0.000 0.156 0.000 x2
Ga1 0.000 0.605 0.992 x2
N1 0.000 0.417 0.280 x2
N2 0.000 0.852 0.085 x2

The 10 most intense peaks (10° ≤ 2θ ≤ 90°), by intensity:
2θ 32.89, I = 100
2θ 31.01, I = 49
2θ 56.42, I = 23
2θ 56.31, I = 17
2θ 59.87, I = 15
2θ 47.21, I = 11
2θ 44.52, I = 11
2θ 49.83, I = 10
2θ 26.69, I = 8
2θ 44.35, I = 8